Calculated X-ray diffraction stick pattern of CuPd2Au3 for Cu Kα, from a crystal structure in Alexandria, relaxed with GGA-PBE.

Cell and atoms:
```
data_CuPd2Au3
_chemical_formula_sum 'Cu4 Pd8 Au12'
_cell_length_a 4.0748
_cell_length_b 12.0854
_cell_length_c 7.9076
_cell_angle_alpha 90.00
_cell_angle_beta 90.00
_cell_angle_gamma 90.00
_space_group_name_H-M_alt 'C m m m'
_space_group_IT_number 65
_space_group_name_Hall '-C 2 2'
loop_
_atom_site_label
_atom_site_fract_x
_atom_site_fract_y
_atom_site_fract_z
Cu1 0.0000 0.1653 0.0000
Pd1 0.0000 0.1670 0.5000
Pd2 0.0000 0.5000 0.0000
Pd3 0.0000 0.5000 0.5000
Au1 0.0000 0.0000 0.2456
Au2 0.0000 0.3312 0.2404
```

Main lines, most intense first (2θ = 10–80°):
hkl	Position (°2θ)	intensity
1 3 2	38.82	100
2 0 0	44.47	17
0 6 0	45.01	17
0 0 4	45.90	15
3 3 2	78.09	13
1 9 2	78.86	13
0 0 2	22.49	11
2 6 0	65.12	11
1 3 0	31.22	11
2 0 4	65.83	10